Record 1
# InAgGeO4
Computed powder diffraction line list, Cu Kα. Input: DFT lattice parameters and positions (PBE).

Cell and atoms:
a = 5.570 Å, b = 5.570 Å, c = 5.570 Å
α = 121.13°, β = 121.13°, γ = 88.05°
Fractional positions:
In 0.000 0.000 0.000
Ag 0.500 0.500 0.000
Ge 0.750 0.250 0.500
O 0.037 0.586 0.881
O 0.414 0.295 0.451
O 0.705 0.156 0.119
O 0.844 0.963 0.549

Top 8 peaks for 2θ = 10–80°, by intensity:
| 2θ/deg | d_spacing | I (rel.) |
| --- | --- | --- |
| 32.2 | 2.783 | 100 |
| 58.0 | 1.589 | 34 |
| 32.7 | 2.737 | 33 |
| 19.6 | 4.520 | 32 |
| 23.0 | 3.871 | 26 |
| 57.0 | 1.616 | 23 |
| 46.9 | 1.935 | 19 |
| 22.2 | 4.005 | 15 |

***

Record 2
# TiCu3O4
Computed powder diffraction line list, Cu Kα. Input: DFT lattice parameters and positions (PBE).

Cell and atoms:
a = 3.017 Å, b = 3.017 Å, c = 11.595 Å
α = 90.00°, β = 90.00°, γ = 120.00°
Fractional positions:
Ti 0.000 0.000 0.000
Cu 0.000 0.000 0.500
Cu 0.333 0.667 0.255
Cu 0.667 0.333 0.745
O 0.333 0.667 0.092
O 0.333 0.667 0.410
O 0.667 0.333 0.590
O 0.667 0.333 0.908

Top 8 peaks for 2θ = 10–80°, by intensity:
| 2θ/deg | d_spacing | I (rel.) |
| --- | --- | --- |
| 37.8 | 2.382 | 100 |
| 35.2 | 2.549 | 96 |
| 30.8 | 2.899 | 43 |
| 59.5 | 1.554 | 37 |
| 61.5 | 1.508 | 35 |
| 70.4 | 1.338 | 23 |
| 52.8 | 1.734 | 22 |
| 66.9 | 1.399 | 14 |